This entry pairs a crystal structure of Zr2S2IBr with its theoretical XRD peak list. Radiation: copper Kα. Structure: a GGA-PBE-relaxed structure.
Kinematic intensities with the Lorentz-polarization factor, no thermal factor.

Cell and atoms:
```
Zr2S2IBr
1.0
3.788 0.000 0.000
0.000 5.093 0.000
0.000 0.000 9.221
Zr S I Br
2 2 1 1
Cartesian
0.000 0.000 0.000
1.894 2.546 1.592
0.000 2.546 9.020
1.894 0.000 1.781
0.000 2.546 3.851
1.894 0.000 7.206
```

Most intense lines, 2θ = 10–80°, by angle:
2θ (°)	Rel. int.
19.92	100
30.54	89
30.98	45
35.25	42
35.37	34
37.69	29
43.07	24
47.32	50
48.04	17
52.53	36